The following is a calculated powder diffractogram of Cd3Br. It was derived from a cell relaxed with PBE, using CuKα.
Neutral-atom scattering factors, no anomalous dispersion.

Structural model:
Cell: 4.1583 5.9906 8.5280 Å, 90.00 90.00 90.00°
Space group Cmmm (No. 65)
Inequivalent atoms, fractional coordinates:
Cd: 0.0000 0.0000 0.0000
Cd: 0.0000 0.5000 0.2436
Br: 0.0000 0.0000 0.5000

Principal peaks in the range 2θ = 10–80°, low angle first:
d [Å], I (rel.)
2.995, 35
2.666, 100
2.132, 13
2.079, 12
1.737, 13
1.708, 13
1.658, 23
1.333, 11
1.312, 10
1.287, 10